Ac2Nd6Dy: simulated powder diffractogram (λ = 1.5418 Å (Cu Kα)), based on a crystal structure in Alexandria, relaxed with PBE.

The 8 most intense peaks (2θ from 10° to 80°), low angle first:
- 2θ 30.0, 2.982 Å, rel. 349
- 2θ 30.1, 2.965 Å, rel. 1000
- 2θ 30.3, 2.949 Å, rel. 604
- 2θ 43.3, 2.090 Å, rel. 223
- 2θ 53.3, 1.718 Å, rel. 132
- 2θ 53.6, 1.709 Å, rel. 190
- 2θ 53.7, 1.706 Å, rel. 124
- 2θ 60.1, 1.539 Å, rel. 155

abc: 9.363 9.363 9.326
angles: 113.04 113.04 66.35
Fractional positions:
Ac1 0.013 0.173 0.179
Ac2 0.173 0.013 0.679
Ac3 0.827 0.987 0.321
Ac4 0.987 0.827 0.821
Nd1 0.090 0.581 0.419
Nd2 0.171 0.352 0.014
Nd3 0.339 0.497 0.835
Nd4 0.352 0.171 0.514
Nd5 0.419 0.910 0.081
Nd6 0.497 0.339 0.335
Nd7 0.503 0.661 0.665
Nd8 0.581 0.090 0.919
Nd9 0.648 0.829 0.486
Nd10 0.661 0.503 0.165
Nd11 0.829 0.648 0.986
Nd12 0.910 0.419 0.581
Dy1 0.256 0.744 0.250
Dy2 0.744 0.256 0.750